Record 1
This entry pairs a crystal structure of La3IrO7 with its computed X-ray diffraction stick pattern. Radiation: Cu Ka. Structure: a structure optimized by DFT (GGA-PBE).
Intensities are scaled so that the largest is 100.

Structure:
abc: 11.247 7.539 7.660
angles: 90.00 90.00 90.00
Space group Cmcm (No. 63)
Inequivalent atoms, fractional coordinates:
La (0.000, 0.000, 0.000) [4 per cell]
La (0.221, 0.313, 0.250) [8 per cell]
Ir (0.000, 0.500, 0.000) [4 per cell]
O (0.000, 0.413, 0.250) [4 per cell]
O (0.126, 0.317, 0.542) [16 per cell]
O (0.130, 0.030, 0.250) [8 per cell]

Principal peaks in the range 2θ from 10° to 90°, in order of falling intensity:
28.19 deg, intensity 100, hkl 2 0 2; 28.51 deg, intensity 80, hkl 2 2 0; 46.77 deg, intensity 43, hkl 4 2 2; 33.35 deg, intensity 39, hkl 0 2 2; 56.32 deg, intensity 24, hkl 2 2 4; 31.83 deg, intensity 23, hkl 4 0 0

Record 2
This entry pairs a crystal structure of RbLa9Ir4O24 with its computed X-ray diffraction stick pattern. Radiation: Cu Ka. Structure: a structure optimized by DFT (GGA-PBE).
Intensities are scaled so that the largest is 100.

Structure:
abc: 7.824 7.824 17.876
angles: 90.00 90.00 90.00
Space group I4/m (No. 87)
Inequivalent atoms, fractional coordinates:
Rb (0.000, 0.000, 0.000) [2 per cell]
La (0.000, 0.000, 0.500) [2 per cell]
La (0.180, 0.315, 0.355) [16 per cell]
Ir (0.000, 0.000, 0.259) [4 per cell]
Ir (0.000, 0.500, 0.000) [4 per cell]
O (0.000, 0.000, 0.150) [4 per cell]
O (0.000, 0.000, 0.372) [4 per cell]
O (0.061, 0.755, 0.265) [16 per cell]
O (0.097, 0.365, 0.088) [16 per cell]
O (0.131, 0.287, 0.500) [8 per cell]

Principal peaks in the range 2θ from 10° to 90°, in order of falling intensity:
30.37 deg, intensity 100, hkl 2 0 4; 18.86 deg, intensity 43, hkl 1 1 2; 32.36 deg, intensity 39, hkl 2 2 0; 29.61 deg, intensity 37, hkl 2 1 3; 43.89 deg, intensity 25, hkl 2 1 7; 25.95 deg, intensity 25, hkl 1 2 1

Record 3
This entry pairs a crystal structure of La2ZnIrO6 with its computed X-ray diffraction stick pattern. Radiation: Cu Ka. Structure: a structure optimized by DFT (GGA-PBE).
Intensities are scaled so that the largest is 100.

Structure:
abc: 5.590 5.823 9.728
angles: 90.00 124.98 90.00
Space group P2_1/c (No. 14)
Inequivalent atoms, fractional coordinates:
La (0.234, 0.060, 0.249) [4 per cell]
Zn (0.000, 0.000, 0.500) [2 per cell]
Ir (0.500, 0.000, 0.000) [2 per cell]
O (0.153, 0.198, 0.950) [4 per cell]
O (0.258, 0.709, 0.948) [4 per cell]
O (0.349, 0.028, 0.753) [4 per cell]

Principal peaks in the range 2θ from 10° to 90°, in order of falling intensity:
31.56 deg, intensity 100, hkl 1 1 -3; 32.02 deg, intensity 25, hkl 2 0 -2; 56.74 deg, intensity 22, hkl 2 0 -6; 30.71 deg, intensity 22, hkl 0 2 0; 44.96 deg, intensity 21, hkl 2 2 -2; 45.52 deg, intensity 13, hkl 0 0 4

Question: Number 3 is which compound?
Answer: La2ZnIrO6